In2NiTeO6: theoretical PXRD pattern (Cu Kα (weighted mean of Kα1 and Kα2)), based on a DFT-relaxed cell (GGA+U, Alexandria).
Peak positions follow from Bragg's law for the DFT cell and can differ from measured ones.

```
data_In2NiTeO6
_space_group_name_H-M_alt 'P 1'
_space_group_IT_number 1
_cell_length_a 5.405
_cell_length_b 5.722
_cell_length_c 5.729
_cell_angle_alpha 61.89
_cell_angle_beta 63.38
_cell_angle_gamma 89.20
loop_
_space_group_symop_operation_xyz
'x,y,z'
loop_
_atom_site_label
_atom_site_type_symbol
_atom_site_fract_x
_atom_site_fract_y
_atom_site_fract_z
In1 In 0.000 0.000 0.000
In2 In 0.446 0.475 0.036
Ni1 Ni 0.144 0.603 0.637
Te1 Te 0.709 0.121 0.572
O1 O 0.086 0.330 0.485
O2 O 0.291 0.813 0.783
O3 O 0.370 0.328 0.792
O4 O 0.634 0.853 0.998
O5 O 0.799 0.327 0.047
O6 O 0.913 0.852 0.461
```

Largest 10 diffraction maxima, low angle first, 10° ≤ 2θ ≤ 80°:
| index | two_theta | I_rel |
| --- | --- | --- |
| 0 0 1 | 20.3 | 19 |
| 1 1 0 | 29.5 | 53 |
| -1 1 1 | 30.7 | 100 |
| 0 2 1 | 31.3 | 42 |
| 1 1 2 | 31.4 | 51 |
| 2 0 1 | 33.2 | 40 |
| 0 0 2 | 41.3 | 24 |
| 2 2 2 | 46.0 | 20 |
| 2 -2 0 | 46.6 | 17 |
| 0 2 3 | 53.9 | 18 |